Record 1
Theoretical PXRD pattern of Ba2LiSnHg6 for Cu Kα, from a structure optimized by DFT (GGA-PBE).

Structure:
```
data_Ba2LiSnHg6
_symmetry_space_group_name_H-M 'P 1'
_symmetry_Int_Tables_number 1
_symmetry_space_group_name_Hall 'P 1'
_cell_length_a 6.088
_cell_length_b 7.589
_cell_length_c 7.726
_cell_angle_alpha 84.39
_cell_angle_beta 69.84
_cell_angle_gamma 66.84
loop_
_atom_site_label
_atom_site_type_symbol
_atom_site_fract_x
_atom_site_fract_y
_atom_site_fract_z
Ba1 Ba 0.030 0.242 0.199
Ba2 Ba 0.970 0.758 0.801
Li1 Li 0.500 0.000 0.500
Sn1 Sn 0.500 0.500 0.000
Hg1 Hg 0.015 0.216 0.713
Hg2 Hg 0.364 0.402 0.415
Hg3 Hg 0.499 0.802 0.230
Hg4 Hg 0.501 0.198 0.770
Hg5 Hg 0.636 0.598 0.585
Hg6 Hg 0.985 0.784 0.287
```

Top 12 peaks for 10 to 90 degrees two-theta, sorted by position:
Position (°2θ), I/Imax
18.04, 58.8
24.58, 47.0
24.77, 35.1
25.56, 42.3
30.37, 38.1
32.26, 37.6
33.82, 67.2
33.97, 100.0
34.73, 67.4
34.93, 79.6
35.91, 49.4
36.53, 37.3

---

Record 2
Theoretical PXRD pattern of Ba2Mg3Hg4 for Cu Kα, from a structure optimized by DFT (GGA-PBE).

Structure:
```
data_Ba2Mg3Hg4
_symmetry_space_group_name_H-M 'P 1'
_symmetry_Int_Tables_number 1
_symmetry_space_group_name_Hall 'P 1'
_cell_length_a 9.418
_cell_length_b 9.418
_cell_length_c 8.883
_cell_angle_alpha 90.00
_cell_angle_beta 90.00
_cell_angle_gamma 138.58
loop_
_atom_site_label
_atom_site_type_symbol
_atom_site_fract_x
_atom_site_fract_y
_atom_site_fract_z
Ba1 Ba 0.113 0.887 0.912
Ba2 Ba 0.387 0.613 0.412
Ba3 Ba 0.613 0.387 0.588
Ba4 Ba 0.887 0.113 0.088
Mg1 Mg 0.000 0.000 0.500
Mg2 Mg 0.034 0.466 0.750
Mg3 Mg 0.466 0.034 0.250
Mg4 Mg 0.500 0.500 0.000
Mg5 Mg 0.534 0.966 0.750
Mg6 Mg 0.966 0.534 0.250
Hg1 Hg 0.185 0.815 0.530
Hg2 Hg 0.200 0.300 0.750
Hg3 Hg 0.300 0.200 0.250
Hg4 Hg 0.315 0.685 0.030
Hg5 Hg 0.685 0.315 0.970
Hg6 Hg 0.700 0.800 0.750
Hg7 Hg 0.800 0.700 0.250
Hg8 Hg 0.815 0.185 0.470
```

Top 12 peaks for 10 to 90 degrees two-theta, sorted by position:
Position (°2θ), I/Imax
22.42, 45.7
22.53, 45.5
28.54, 21.7
28.65, 25.2
30.41, 100.0
31.88, 36.9
32.10, 20.6
33.63, 66.8
45.89, 14.1
49.60, 24.3
54.00, 15.9
60.31, 15.0

---

Record 3
Theoretical PXRD pattern of Ba2Mg6Hg for Cu Kα, from a structure optimized by DFT (GGA-PBE).

Structure:
```
data_Ba2Mg6Hg
_symmetry_space_group_name_H-M 'P 1'
_symmetry_Int_Tables_number 1
_symmetry_space_group_name_Hall 'P 1'
_cell_length_a 6.464
_cell_length_b 6.464
_cell_length_c 7.209
_cell_angle_alpha 96.08
_cell_angle_beta 96.08
_cell_angle_gamma 65.96
loop_
_atom_site_label
_atom_site_type_symbol
_atom_site_fract_x
_atom_site_fract_y
_atom_site_fract_z
Ba1 Ba 0.162 0.162 0.380
Ba2 Ba 0.838 0.838 0.620
Mg1 Mg 0.107 0.663 0.135
Mg2 Mg 0.337 0.893 0.865
Mg3 Mg 0.375 0.375 0.823
Mg4 Mg 0.625 0.625 0.177
Mg5 Mg 0.663 0.107 0.135
Mg6 Mg 0.893 0.337 0.865
Hg1 Hg 0.500 0.500 0.500
```

Top 12 peaks for 10 to 90 degrees two-theta, sorted by position:
Position (°2θ), I/Imax
12.38, 100.0
18.85, 36.9
25.31, 39.7
27.93, 68.0
28.26, 67.1
28.29, 65.9
29.31, 43.5
31.75, 30.4
31.94, 46.9
33.71, 35.3
39.81, 36.9
50.93, 28.5

---

Record 4
Theoretical PXRD pattern of Ba3Mg9Hg2 for Cu Kα, from a structure optimized by DFT (GGA-PBE).

Structure:
```
data_Ba3Mg9Hg2
_symmetry_space_group_name_H-M 'P 1'
_symmetry_Int_Tables_number 1
_symmetry_space_group_name_Hall 'P 1'
_cell_length_a 9.645
_cell_length_b 9.645
_cell_length_c 9.645
_cell_angle_alpha 149.12
_cell_angle_beta 109.31
_cell_angle_gamma 79.11
loop_
_atom_site_label
_atom_site_type_symbol
_atom_site_fract_x
_atom_site_fract_y
_atom_site_fract_z
Ba1 Ba 0.000 0.000 0.000
Ba2 Ba 0.310 0.310 0.000
Ba3 Ba 0.690 0.690 0.000
Mg1 Mg 0.024 0.674 0.350
Mg2 Mg 0.167 0.883 0.284
Mg3 Mg 0.323 0.674 0.650
Mg4 Mg 0.401 0.117 0.284
Mg5 Mg 0.500 0.000 0.500
Mg6 Mg 0.599 0.883 0.716
Mg7 Mg 0.677 0.326 0.350
Mg8 Mg 0.833 0.117 0.716
Mg9 Mg 0.976 0.326 0.650
Hg1 Hg 0.280 0.500 0.780
Hg2 Hg 0.720 0.500 0.220
```

Top 12 peaks for 10 to 90 degrees two-theta, sorted by position:
Position (°2θ), I/Imax
11.90, 28.9
18.28, 21.9
19.02, 28.2
19.89, 30.2
24.30, 34.1
29.72, 100.0
30.03, 27.9
32.07, 29.8
34.90, 46.2
46.73, 16.4
48.14, 15.2
49.19, 19.2

---

Record 5
Theoretical PXRD pattern of BaMg4Hg2 for Cu Kα, from a structure optimized by DFT (GGA-PBE).

Structure:
```
data_BaMg4Hg2
_symmetry_space_group_name_H-M 'P 1'
_symmetry_Int_Tables_number 1
_symmetry_space_group_name_Hall 'P 1'
_cell_length_a 9.022
_cell_length_b 9.022
_cell_length_c 4.604
_cell_angle_alpha 90.00
_cell_angle_beta 90.00
_cell_angle_gamma 90.00
loop_
_atom_site_label
_atom_site_type_symbol
_atom_site_fract_x
_atom_site_fract_y
_atom_site_fract_z
Ba1 Ba 0.000 0.000 0.000
Ba2 Ba 0.500 0.500 0.500
Mg1 Mg 0.086 0.343 0.500
Mg2 Mg 0.157 0.586 0.000
Mg3 Mg 0.343 0.086 0.500
Mg4 Mg 0.414 0.843 0.000
Mg5 Mg 0.586 0.157 0.000
Mg6 Mg 0.657 0.914 0.500
Mg7 Mg 0.843 0.414 0.000
Mg8 Mg 0.914 0.657 0.500
Hg1 Hg 0.215 0.785 0.500
Hg2 Hg 0.285 0.285 0.000
Hg3 Hg 0.715 0.715 0.000
Hg4 Hg 0.785 0.215 0.500
```

Top 12 peaks for 10 to 90 degrees two-theta, sorted by position:
Position (°2θ), I/Imax
19.68, 34.9
22.03, 24.5
23.84, 100.0
27.97, 58.7
29.44, 62.2
35.66, 34.6
37.07, 74.3
39.14, 25.2
41.26, 27.3
48.79, 26.0
54.63, 21.6
58.64, 30.2

---

Record 6
Theoretical PXRD pattern of Ba12MgHg5 for Cu Kα, from a structure optimized by DFT (GGA-PBE).

Structure:
```
data_Ba12MgHg5
_symmetry_space_group_name_H-M 'P 1'
_symmetry_Int_Tables_number 1
_symmetry_space_group_name_Hall 'P 1'
_cell_length_a 10.323
_cell_length_b 10.323
_cell_length_c 10.323
_cell_angle_alpha 113.38
_cell_angle_beta 110.00
_cell_angle_gamma 105.15
loop_
_atom_site_label
_atom_site_type_symbol
_atom_site_fract_x
_atom_site_fract_y
_atom_site_fract_z
Ba1 Ba 0.053 0.237 0.816
Ba2 Ba 0.174 0.275 0.449
Ba3 Ba 0.174 0.725 0.899
Ba4 Ba 0.336 0.031 0.695
Ba5 Ba 0.336 0.641 0.305
Ba6 Ba 0.421 0.237 0.184
Ba7 Ba 0.579 0.763 0.816
Ba8 Ba 0.664 0.359 0.695
Ba9 Ba 0.664 0.969 0.305
Ba10 Ba 0.826 0.275 0.101
Ba11 Ba 0.826 0.725 0.551
Ba12 Ba 0.947 0.763 0.184
Mg1 Mg 0.500 0.500 0.000
Hg1 Hg 0.000 0.000 0.000
Hg2 Hg 0.127 0.627 0.500
Hg3 Hg 0.337 0.000 0.337
Hg4 Hg 0.663 0.000 0.663
Hg5 Hg 0.873 0.373 0.500
```

Top 12 peaks for 10 to 90 degrees two-theta, sorted by position:
Position (°2θ), I/Imax
10.52, 22.1
10.80, 26.0
25.98, 37.4
27.55, 44.3
27.84, 70.3
28.45, 100.0
31.56, 32.5
31.91, 30.5
32.29, 23.8
45.99, 18.8
48.52, 27.8
58.88, 24.4

---

Record 7
Theoretical PXRD pattern of Ba2Mg5Hg5 for Cu Kα, from a structure optimized by DFT (GGA-PBE).

Structure:
```
data_Ba2Mg5Hg5
_symmetry_space_group_name_H-M 'P 1'
_symmetry_Int_Tables_number 1
_symmetry_space_group_name_Hall 'P 1'
_cell_length_a 4.841
_cell_length_b 6.271
_cell_length_c 10.837
_cell_angle_alpha 90.00
_cell_angle_beta 90.00
_cell_angle_gamma 90.00
loop_
_atom_site_label
_atom_site_type_symbol
_atom_site_fract_x
_atom_site_fract_y
_atom_site_fract_z
Ba1 Ba 0.000 0.000 0.000
Ba2 Ba 0.000 0.500 0.500
Mg1 Mg 0.500 0.000 0.500
Mg2 Mg 0.500 0.249 0.244
Mg3 Mg 0.500 0.249 0.756
Mg4 Mg 0.500 0.751 0.244
Mg5 Mg 0.500 0.751 0.756
Hg1 Hg 0.000 0.000 0.332
Hg2 Hg 0.000 0.000 0.668
Hg3 Hg 0.000 0.500 0.181
Hg4 Hg 0.000 0.500 0.819
Hg5 Hg 0.500 0.500 0.000
```

Top 12 peaks for 10 to 90 degrees two-theta, sorted by position:
Position (°2θ), I/Imax
16.33, 15.1
18.33, 29.0
28.49, 57.0
34.10, 100.0
37.15, 18.6
38.02, 13.2
47.45, 14.0
47.49, 13.0
54.13, 26.9
59.04, 11.9
65.02, 17.2
71.80, 15.9

---

Record 8
Theoretical PXRD pattern of Ba2MgHg16 for Cu Kα, from a structure optimized by DFT (GGA-PBE).

Structure:
```
data_Ba2MgHg16
_symmetry_space_group_name_H-M 'P 1'
_symmetry_Int_Tables_number 1
_symmetry_space_group_name_Hall 'P 1'
_cell_length_a 8.258
_cell_length_b 8.258
_cell_length_c 8.258
_cell_angle_alpha 77.73
_cell_angle_beta 77.73
_cell_angle_gamma 77.73
loop_
_atom_site_label
_atom_site_type_symbol
_atom_site_fract_x
_atom_site_fract_y
_atom_site_fract_z
Ba1 Ba 0.000 0.000 0.000
Ba2 Ba 0.324 0.324 0.324
Mg1 Mg 0.706 0.706 0.706
Hg1 Hg 0.041 0.041 0.436
Hg2 Hg 0.041 0.436 0.041
Hg3 Hg 0.066 0.697 0.697
Hg4 Hg 0.300 0.300 0.755
Hg5 Hg 0.300 0.755 0.300
Hg6 Hg 0.350 0.645 0.940
Hg7 Hg 0.350 0.940 0.645
Hg8 Hg 0.436 0.041 0.041
Hg9 Hg 0.535 0.535 0.535
Hg10 Hg 0.645 0.350 0.940
Hg11 Hg 0.645 0.940 0.350
Hg12 Hg 0.697 0.066 0.697
Hg13 Hg 0.697 0.697 0.066
Hg14 Hg 0.755 0.300 0.300
Hg15 Hg 0.940 0.350 0.645
Hg16 Hg 0.940 0.645 0.350
```

Top 12 peaks for 10 to 90 degrees two-theta, sorted by position:
Position (°2θ), I/Imax
28.31, 13.4
28.87, 22.1
29.87, 27.4
31.43, 28.1
32.96, 20.5
33.85, 100.0
36.00, 11.6
38.17, 24.7
40.55, 10.7
43.91, 12.0
53.02, 11.7
57.51, 17.6

---

Record 9
Theoretical PXRD pattern of BaMg6Hg6 for Cu Kα, from a structure optimized by DFT (GGA-PBE).

Structure:
```
data_BaMg6Hg6
_symmetry_space_group_name_H-M 'P 1'
_symmetry_Int_Tables_number 1
_symmetry_space_group_name_Hall 'P 1'
_cell_length_a 7.800
_cell_length_b 7.800
_cell_length_c 7.800
_cell_angle_alpha 133.29
_cell_angle_beta 102.69
_cell_angle_gamma 95.43
loop_
_atom_site_label
_atom_site_type_symbol
_atom_site_fract_x
_atom_site_fract_y
_atom_site_fract_z
Ba1 Ba 0.000 0.000 0.000
Mg1 Mg 0.000 0.000 0.500
Mg2 Mg 0.000 0.500 0.000
Mg3 Mg 0.250 0.500 0.750
Mg4 Mg 0.500 0.000 0.000
Mg5 Mg 0.500 0.500 0.500
Mg6 Mg 0.750 0.500 0.250
Hg1 Hg 0.181 0.681 0.500
Hg2 Hg 0.340 0.340 0.000
Hg3 Hg 0.344 0.000 0.344
Hg4 Hg 0.656 0.000 0.656
Hg5 Hg 0.660 0.660 0.000
Hg6 Hg 0.819 0.319 0.500
```

Top 12 peaks for 10 to 90 degrees two-theta, sorted by position:
Position (°2θ), I/Imax
18.21, 36.9
24.76, 23.0
28.87, 53.5
29.33, 100.0
34.35, 28.9
34.74, 53.5
35.60, 28.7
38.51, 22.8
40.72, 18.1
51.45, 21.6
60.83, 16.3
65.09, 23.9

---

Record 10
Theoretical PXRD pattern of Ba3Mg7Hg4 for Cu Kα, from a structure optimized by DFT (GGA-PBE).

Structure:
```
data_Ba3Mg7Hg4
_symmetry_space_group_name_H-M 'P 1'
_symmetry_Int_Tables_number 1
_symmetry_space_group_name_Hall 'P 1'
_cell_length_a 9.484
_cell_length_b 9.484
_cell_length_c 10.452
_cell_angle_alpha 122.03
_cell_angle_beta 122.03
_cell_angle_gamma 30.98
loop_
_atom_site_label
_atom_site_type_symbol
_atom_site_fract_x
_atom_site_fract_y
_atom_site_fract_z
Ba1 Ba 0.000 0.000 0.000
Ba2 Ba 0.300 0.300 0.298
Ba3 Ba 0.700 0.700 0.702
Mg1 Mg 0.000 0.000 0.500
Mg2 Mg 0.148 0.148 0.426
Mg3 Mg 0.328 0.328 0.982
Mg4 Mg 0.497 0.497 0.688
Mg5 Mg 0.503 0.503 0.312
Mg6 Mg 0.672 0.672 0.018
Mg7 Mg 0.852 0.852 0.574
Hg1 Hg 0.125 0.125 0.836
Hg2 Hg 0.340 0.340 0.706
Hg3 Hg 0.660 0.660 0.294
Hg4 Hg 0.875 0.875 0.164
```

Top 12 peaks for 10 to 90 degrees two-theta, sorted by position:
Position (°2θ), I/Imax
20.35, 41.6
22.61, 84.2
22.84, 61.1
24.80, 34.7
28.61, 50.8
29.95, 35.7
30.47, 55.8
30.73, 48.3
31.16, 100.0
34.30, 31.8
35.44, 68.8
38.86, 29.1

---

Record 11
Theoretical PXRD pattern of Ba3Mg2Hg9 for Cu Kα, from a structure optimized by DFT (GGA-PBE).

Structure:
```
data_Ba3Mg2Hg9
_symmetry_space_group_name_H-M 'P 1'
_symmetry_Int_Tables_number 1
_symmetry_space_group_name_Hall 'P 1'
_cell_length_a 9.603
_cell_length_b 9.603
_cell_length_c 9.603
_cell_angle_alpha 149.67
_cell_angle_beta 112.70
_cell_angle_gamma 75.58
loop_
_atom_site_label
_atom_site_type_symbol
_atom_site_fract_x
_atom_site_fract_y
_atom_site_fract_z
Ba1 Ba 0.000 0.000 0.000
Ba2 Ba 0.288 0.288 0.000
Ba3 Ba 0.712 0.712 0.000
Mg1 Mg 0.328 0.500 0.828
Mg2 Mg 0.672 0.500 0.172
Hg1 Hg 0.008 0.652 0.356
Hg2 Hg 0.158 0.867 0.290
Hg3 Hg 0.296 0.652 0.644
Hg4 Hg 0.423 0.133 0.290
Hg5 Hg 0.500 0.000 0.500
Hg6 Hg 0.577 0.867 0.710
Hg7 Hg 0.704 0.348 0.356
Hg8 Hg 0.842 0.133 0.710
Hg9 Hg 0.992 0.348 0.644
```

Top 12 peaks for 10 to 90 degrees two-theta, sorted by position:
Position (°2θ), I/Imax
19.54, 29.9
23.45, 33.5
28.90, 89.2
30.18, 80.7
30.70, 46.2
30.85, 100.0
33.09, 32.1
35.75, 80.6
38.76, 48.4
39.11, 65.2
46.60, 49.2
57.85, 42.6

---

Record 12
Theoretical PXRD pattern of Ba3MgHg2O6 for Cu Kα, from a structure optimized by DFT (GGA-PBE).

Structure:
```
data_Ba3MgHg2O6
_symmetry_space_group_name_H-M 'P 1'
_symmetry_Int_Tables_number 1
_symmetry_space_group_name_Hall 'P 1'
_cell_length_a 6.205
_cell_length_b 6.205
_cell_length_c 6.794
_cell_angle_alpha 90.00
_cell_angle_beta 90.00
_cell_angle_gamma 120.00
loop_
_atom_site_label
_atom_site_type_symbol
_atom_site_fract_x
_atom_site_fract_y
_atom_site_fract_z
Ba1 Ba 0.000 0.000 0.000
Ba2 Ba 0.333 0.667 0.622
Ba3 Ba 0.667 0.333 0.378
Mg1 Mg 0.000 0.000 0.500
Hg1 Hg 0.333 0.667 0.143
Hg2 Hg 0.667 0.333 0.857
O1 O 0.160 0.320 0.316
O2 O 0.160 0.840 0.316
O3 O 0.320 0.160 0.684
O4 O 0.680 0.840 0.316
O5 O 0.840 0.160 0.684
O6 O 0.840 0.680 0.684
```

Top 12 peaks for 10 to 90 degrees two-theta, sorted by position:
Position (°2θ), I/Imax
16.50, 12.8
21.08, 15.8
28.78, 100.0
31.15, 87.3
42.92, 48.8
50.99, 20.8
52.50, 40.8
56.85, 11.1
59.60, 16.9
68.79, 18.8
82.21, 11.0
83.41, 11.5